Starting from a crystal structure in the Materials Project, relaxed with GGA-PBE, the powder diffraction line list of LiTi2O4 was simulated for Cu Ka.
Lines closer than 0.1° are merged.

Crystal structure
a = 8.4655 Å, b = 8.4655 Å, c = 8.4655 Å
α = 90.00°, β = 90.00°, γ = 90.00°
Space group Fd-3m (No. 227, origin choice 2)
Symmetry-distinct sites (fractional):
Li: 0.1250 0.1250 0.1250 x8
Ti: 0.0000 0.0000 0.5000 x16
O: 0.0126 0.0126 0.7374 x32

Most intense lines, 2θ = 10–90°, sorted by position:
two_theta	I/Imax
18.2	100
35.2	45
42.7	60
46.8	8
56.5	21
62.0	36
65.2	13
78.2	9
81.1	7
88.8	7

Starting from a crystal structure in the Materials Project, relaxed with GGA-PBE, the powder diffraction line list of CsTmSiS4 was simulated for Cu Ka.
Lines closer than 0.1° are merged.

Crystal structure
a = 6.3611 Å, b = 6.7153 Å, c = 18.0070 Å
α = 90.00°, β = 90.00°, γ = 90.00°
Space group P2_12_12_1 (No. 19)
Symmetry-distinct sites (fractional):
Cs: 0.0024 0.0065 0.0325 x4
Tm: 0.2078 0.5212 0.7287 x4
Si: 0.2084 0.0179 0.3293 x4
S: 0.0562 0.5111 0.0996 x4
S: 0.0665 0.7515 0.8498 x4
S: 0.1004 0.0809 0.2200 x4
S: 0.1025 0.2457 0.8398 x4

Most intense lines, 2θ = 10–90°, sorted by position:
two_theta	I/Imax
19.2	56
19.8	88
21.6	82
23.8	63
26.5	81
29.8	88
31.5	74
33.3	61
40.3	100
43.6	58

Starting from a crystal structure in the Materials Project, relaxed with GGA-PBE, the powder diffraction line list of Sr2YTi2AlO7 was simulated for Cu Ka.
Lines closer than 0.1° are merged.

Crystal structure
a = 22.9327 Å, b = 5.6600 Å, c = 5.5163 Å
α = 90.00°, β = 90.00°, γ = 90.00°
Space group Ima2 (No. 46)
Symmetry-distinct sites (fractional):
Sr: 0.1569 0.0239 0.0000 x8
Y: 0.0000 0.0000 0.0061 x4
Ti: 0.0620 0.5007 0.0059 x8
Al: 0.2500 0.5730 0.9826 x4
O: 0.0676 0.2444 0.2506 x8
O: 0.0696 0.7460 0.2603 x8
O: 0.1818 0.0601 0.5382 x8
O: 0.2500 0.6593 0.6647 x4

Most intense lines, 2θ = 10–90°, sorted by position:
two_theta	I/Imax
22.5	17
31.6	30
32.5	30
32.6	100
38.8	22
39.6	18
40.3	17
45.9	39
56.9	19
58.0	20

Starting from a crystal structure in the Materials Project, relaxed with GGA-PBE, the powder diffraction line list of SbRhSe was simulated for Cu Ka.
Lines closer than 0.1° are merged.

Crystal structure
a = 6.2614 Å, b = 6.2614 Å, c = 6.2614 Å
α = 90.00°, β = 90.00°, γ = 90.00°
Space group P2_13 (No. 198)
Symmetry-distinct sites (fractional):
Sb: 0.1228 0.1228 0.1228 x4
Rh: 0.0051 0.5051 0.9949 x4
Se: 0.1219 0.3781 0.6219 x4

Most intense lines, 2θ = 10–90°, sorted by position:
two_theta	I/Imax
28.5	41
32.0	100
35.1	76
40.8	27
48.2	93
52.7	26
54.9	41
68.7	21
79.5	29
88.3	25

Starting from a crystal structure in the Materials Project, relaxed with GGA-PBE, the powder diffraction line list of LaCeO4F2 was simulated for Cu Ka.
Lines closer than 0.1° are merged.

Crystal structure
a = 4.0182 Å, b = 4.0182 Å, c = 8.3545 Å
α = 90.00°, β = 90.00°, γ = 120.00°
Space group P-6m2 (No. 187)
Symmetry-distinct sites (fractional):
La: 0.0000 0.0000 0.0000 x1
Ce: 0.0000 0.0000 0.5000 x1
O: 0.3333 0.6667 0.1639 x2
O: 0.3333 0.6667 0.3458 x2
F: 0.6667 0.3333 0.0000 x1
F: 0.6667 0.3333 0.5000 x1

Most intense lines, 2θ = 10–90°, sorted by position:
two_theta	I/Imax
21.3	57
25.6	64
33.5	100
45.1	40
50.4	34
51.0	32
57.4	21
64.3	15
75.8	18
87.7	14